For Er2S3, a DFT-relaxed cell (GGA-PBE, the Materials Project) gives the calculated PXRD pattern in this record (Cu Ka).
Intensities are scaled so that the largest is 100.

The 6 most intense peaks (10 to 90 degrees two-theta), in order of rising 2θ:
d_spacing, 2θ (°), I_rel
3.710, 23.98, 100
3.409, 26.14, 44
3.338, 26.71, 54
3.300, 27.02, 48
2.966, 30.13, 46
2.502, 35.89, 54

Atomic structure:
```
20
Lattice="10.570 0.000 0.000 0.000 3.838 0.000 0.000 0.000 10.420" Properties=species:S:1:pos:R:3 pbc="T T T"
Er 0.084 0.959 1.956
Er 2.025 0.959 5.260
Er 3.260 2.878 0.049
Er 5.201 2.878 7.166
Er 5.368 0.959 3.255
Er 7.310 0.959 10.371
Er 8.545 2.878 5.161
Er 10.486 2.878 8.465
S 0.474 2.878 3.891
S 1.262 0.959 9.856
S 2.426 2.878 7.255
S 2.858 0.959 2.045
S 4.023 2.878 4.646
S 4.811 0.959 9.101
S 5.758 2.878 1.319
S 6.547 0.959 5.774
S 7.711 2.878 8.376
S 8.143 0.959 3.165
S 9.308 2.878 0.564
S 10.096 0.959 6.530
```

=====

For Er2S3, a DFT-relaxed cell (GGA-PBE, the Materials Project) gives the calculated PXRD pattern in this record (Cu Ka).
Intensities are scaled so that the largest is 100.

The 6 most intense peaks (10 to 90 degrees two-theta), in order of rising 2θ:
d_spacing, 2θ (°), I_rel
3.778, 23.55, 86
3.551, 25.08, 73
3.286, 27.14, 100
2.447, 36.73, 77
2.246, 40.15, 86
2.036, 44.50, 100

Atomic structure:
```
30
Lattice="10.116 0.000 0.000 0.000 3.994 0.000 -2.631 0.000 17.349" Properties=species:S:1:pos:R:3 pbc="T T T"
Er -0.130 0.998 1.742
Er -1.121 2.995 10.664
Er 1.885 0.998 8.316
Er 1.110 0.998 13.517
Er 2.594 2.995 4.887
Er 3.620 0.998 1.217
Er 3.866 2.995 16.131
Er 4.892 0.998 12.461
Er 6.376 2.995 3.832
Er 5.601 2.995 9.033
Er 8.607 0.998 6.685
Er 7.616 2.995 15.607
S -0.064 2.995 8.109
S -1.205 0.998 16.806
S -0.665 2.995 13.570
S 0.994 0.998 5.529
S 1.781 2.995 2.279
S 0.691 0.998 10.877
S 2.096 0.998 16.042
S 3.451 2.995 7.360
S 4.371 0.998 4.022
S 3.114 2.995 13.327
S 4.035 0.998 9.989
S 5.390 2.995 1.306
S 6.795 2.995 6.472
S 5.705 0.998 15.069
S 6.492 2.995 11.820
S 8.150 0.998 3.778
S 8.691 2.995 0.542
S 7.550 0.998 9.239
```

=====

For Er2S3, a DFT-relaxed cell (GGA-PBE, the Materials Project) gives the calculated PXRD pattern in this record (Cu Ka).
Intensities are scaled so that the largest is 100.

The 6 most intense peaks (10 to 90 degrees two-theta), in order of rising 2θ:
d_spacing, 2θ (°), I_rel
3.365, 26.49, 100
2.607, 34.40, 88
2.203, 40.97, 55
1.843, 49.45, 37
1.757, 52.04, 23
1.617, 56.95, 28

Atomic structure:
```
40
Lattice="-4.125 4.125 12.346 4.125 -4.125 12.346 4.125 4.125 -12.346" Properties=species:S:1:pos:R:3 pbc="T T T"
Er 5.263 2.136 -5.204
Er 0.000 0.000 4.119
Er 2.136 1.138 0.969
Er 2.987 -1.989 11.377
Er 2.062 3.151 -3.086
Er 5.099 2.062 3.086
Er 2.062 0.974 9.259
Er -1.138 1.989 7.142
Er 2.136 2.987 5.204
Er 0.000 4.125 2.054
Er 1.138 6.114 -0.969
Er 0.000 0.000 20.572
Er 1.989 1.138 17.550
Er -0.974 2.062 15.432
Er 1.989 2.987 13.315
Er 0.000 4.125 10.292
S 1.484 0.547 -1.618
S 5.643 -0.575 3.571
S 3.550 -1.518 8.775
S 2.694 3.473 -5.739
S 4.776 1.431 0.433
S 4.699 2.607 -2.602
S 2.607 0.575 3.571
S 3.578 -2.641 13.964
S 1.431 0.652 6.606
S 1.431 3.473 -0.433
S -0.547 2.641 4.555
S 2.607 3.550 2.602
S 4.699 1.518 8.775
S 4.776 2.694 5.739
S 2.694 0.652 11.912
S -0.575 1.518 9.744
S 1.518 0.575 14.948
S 1.484 3.578 7.791
S -0.652 2.694 12.779
S 0.547 5.609 4.555
S 2.641 3.578 10.728
S -1.484 4.672 7.791
S 0.547 6.766 1.618
S -0.652 1.431 18.085
```

=====

For Er3ScS6, a DFT-relaxed cell (GGA-PBE, the Materials Project) gives the calculated PXRD pattern in this record (Cu Ka).
Intensities are scaled so that the largest is 100.

The 6 most intense peaks (10 to 90 degrees two-theta), in order of rising 2θ:
d_spacing, 2θ (°), I_rel
5.362, 16.53, 51
3.715, 23.95, 44
3.628, 24.54, 63
3.313, 26.91, 100
2.931, 30.50, 40
2.100, 43.07, 44

Atomic structure:
```
20
Lattice="10.880 0.000 0.000 0.000 3.874 0.000 -3.636 0.000 10.537" Properties=species:S:1:pos:R:3 pbc="T T T"
Er 0.125 0.968 1.781
Er 0.181 2.905 5.289
Er 0.378 0.968 9.678
Er 6.866 2.905 0.859
Er 7.063 0.968 5.248
Er 7.119 2.905 8.755
Sc 3.856 0.968 3.318
Sc 3.388 2.905 7.219
S -1.182 0.968 4.073
S -2.280 0.968 9.890
S 1.701 2.905 2.942
S 0.711 2.905 7.885
S 2.375 0.968 5.666
S 4.173 2.905 1.071
S 3.071 0.968 9.465
S 4.868 2.905 4.871
S 6.533 0.968 2.652
S 5.543 0.968 7.595
S 9.524 2.905 0.647
S 8.426 2.905 6.464
```

=====

For Er3ScS6, a DFT-relaxed cell (GGA-PBE, the Materials Project) gives the calculated PXRD pattern in this record (Cu Ka).
Intensities are scaled so that the largest is 100.

The 6 most intense peaks (10 to 90 degrees two-theta), in order of rising 2θ:
d_spacing, 2θ (°), I_rel
3.689, 24.13, 63
3.621, 24.58, 100
3.542, 25.14, 76
2.808, 31.87, 54
2.096, 43.16, 56
1.928, 47.14, 54

Atomic structure:
```
20
Lattice="10.864 0.000 0.000 0.000 3.858 0.000 -3.669 0.000 10.441" Properties=species:S:1:pos:R:3 pbc="T T T"
Er -0.179 0.964 2.018
Er -0.359 0.964 6.092
Er -0.212 2.893 10.441
Er 7.407 0.964 0.001
Er 7.554 2.893 4.349
Er 7.374 2.893 8.423
Sc 3.528 0.964 3.490
Sc 3.667 2.893 6.951
S -0.578 2.893 4.175
S -2.332 0.964 10.061
S -0.678 2.893 7.830
S 2.030 2.893 2.410
S 2.322 0.964 5.855
S 4.779 0.964 1.268
S 2.416 2.893 9.173
S 4.873 2.893 4.586
S 5.165 0.964 8.031
S 7.874 0.964 2.611
S 9.528 2.893 0.380
S 7.773 0.964 6.266
```

=====

For ErScS3, a DFT-relaxed cell (GGA-PBE, the Materials Project) gives the calculated PXRD pattern in this record (Cu Ka).
Intensities are scaled so that the largest is 100.

The 6 most intense peaks (10 to 90 degrees two-theta), in order of rising 2θ:
d_spacing, 2θ (°), I_rel
4.213, 21.09, 64
3.346, 26.64, 100
2.633, 34.05, 40
2.349, 38.32, 41
2.280, 39.53, 39
2.127, 42.50, 44

Atomic structure:
```
20
Lattice="6.971 0.000 0.000 0.000 6.353 0.000 0.000 0.000 9.539" Properties=species:S:1:pos:R:3 pbc="T T T"
Er 0.705 0.263 0.000
Er 2.781 3.440 4.770
Er 4.190 2.913 0.000
Er 6.266 6.090 4.770
Sc 0.028 3.199 2.350
Sc 3.457 0.022 7.120
Sc 3.513 6.331 2.350
Sc 6.943 3.154 7.120
S 0.347 2.242 4.748
S 1.262 5.230 6.465
S 1.299 5.249 3.090
S 2.186 2.072 7.859
S 2.223 2.053 1.696
S 3.138 5.419 9.518
S 3.833 0.935 4.748
S 4.747 4.301 6.465
S 4.784 4.281 3.090
S 5.672 1.104 7.859
S 5.709 1.124 1.696
S 6.624 4.111 9.518
```

=====

For Er3ScS6, a DFT-relaxed cell (GGA-PBE, the Materials Project) gives the calculated PXRD pattern in this record (Cu Ka).
Intensities are scaled so that the largest is 100.

The 6 most intense peaks (10 to 90 degrees two-theta), in order of rising 2θ:
d_spacing, 2θ (°), I_rel
3.703, 24.03, 60
3.622, 24.58, 53
3.592, 24.79, 72
3.147, 28.36, 52
2.813, 31.81, 100
2.552, 35.17, 68

Atomic structure:
```
20
Lattice="10.776 0.000 0.000 0.000 3.858 0.000 -3.540 0.000 10.535" Properties=species:S:1:pos:R:3 pbc="T T T"
Er -0.185 0.964 2.067
Er -0.109 2.893 10.469
Er 3.544 0.964 3.518
Er 3.692 2.893 7.017
Er 7.345 0.964 0.066
Er 7.421 2.893 8.468
Sc -0.394 0.964 6.147
Sc 7.630 2.893 4.388
S -0.586 2.893 4.295
S -2.209 0.964 10.123
S -0.568 2.893 7.800
S 1.964 2.893 2.379
S 2.193 0.964 5.895
S 4.770 0.964 1.196
S 2.465 2.893 9.339
S 5.042 2.893 4.639
S 5.272 0.964 8.156
S 7.804 0.964 2.734
S 9.444 2.893 0.411
S 7.822 0.964 6.239
```

=====

For Sm3ErS4, a DFT-relaxed cell (GGA-PBE, the Materials Project) gives the calculated PXRD pattern in this record (Cu Ka).
Intensities are scaled so that the largest is 100.

The 6 most intense peaks (10 to 90 degrees two-theta), in order of rising 2θ:
d_spacing, 2θ (°), I_rel
3.249, 27.45, 60
3.235, 27.57, 59
2.817, 31.77, 51
2.803, 31.93, 100
1.987, 45.65, 91
1.697, 54.03, 20

Atomic structure:
```
8
Lattice="3.978 0.000 0.000 0.000 5.634 0.000 0.000 0.000 7.903" Properties=species:S:1:pos:R:3 pbc="T T T"
Sm 0.000 0.000 0.000
Sm 1.989 2.817 1.947
Sm 1.989 2.817 5.955
Er 0.000 0.000 3.951
S 0.000 2.817 0.000
S 0.000 2.817 3.951
S 1.989 0.000 2.066
S 1.989 0.000 5.837
```

=====

Q: Which formula does entry 4 have?
A: Er3ScS6